Computed powder diffractogram
Compound: CaV2P2O9
Radiation: Cu Kα
Structure: a cell relaxed with PBE+U
Peak positions follow from Bragg's law for the DFT cell and can differ from measured ones.

Crystal structure
```
CaV2P2O9
1.0
14.347 0.000 0.000
0.000 6.558 0.000
0.000 0.000 7.483
Ca V P O
4 8 8 36
direct
0.222 0.250 0.109
0.278 0.750 0.609
0.722 0.250 0.391
0.778 0.750 0.891
0.000 0.000 0.000
0.000 0.500 0.000
0.119 0.250 0.648
0.381 0.750 0.148
0.500 0.000 0.500
0.500 0.500 0.500
0.619 0.250 0.852
0.881 0.750 0.352
0.068 0.750 0.640
0.192 0.750 0.111
0.308 0.250 0.611
0.432 0.250 0.140
0.568 0.750 0.860
0.692 0.750 0.389
0.808 0.250 0.889
0.932 0.250 0.360
0.008 0.250 0.502
0.018 0.750 0.826
0.055 0.250 0.876
0.130 0.555 0.105
0.130 0.945 0.105
0.134 0.565 0.630
0.134 0.935 0.630
0.234 0.250 0.459
0.248 0.250 0.784
0.252 0.750 0.284
0.266 0.750 0.959
0.366 0.065 0.130
0.366 0.435 0.130
0.370 0.055 0.605
0.370 0.445 0.605
0.445 0.750 0.376
0.482 0.250 0.326
0.492 0.750 0.002
0.508 0.250 0.998
0.518 0.750 0.674
0.555 0.250 0.624
0.630 0.555 0.395
0.630 0.945 0.395
0.634 0.565 0.870
0.634 0.935 0.870
0.734 0.250 0.041
0.748 0.250 0.716
0.752 0.750 0.216
0.766 0.750 0.541
0.866 0.065 0.370
0.866 0.435 0.370
0.870 0.055 0.895
0.870 0.445 0.895
0.945 0.750 0.124
0.982 0.250 0.174
0.992 0.750 0.498
```

Largest 12 diffraction maxima, in order of rising 2θ, 2θ = 15–90°:
2θ (°)  Rel. int.
17.1  31
24.6  100
27.2  37
27.6  26
30.0  15
30.4  43
33.4  26
35.3  18
39.1  21
50.4  16
56.1  17
56.4  22